Structure and simulated powder diffraction line list of Li4Mg9Cu (a structure optimized by DFT (PBE); λ = 1.5418 Å (Cu Kα)).

```
Li4Mg9Cu
1.0
8.7003 0.0000 0.0000
-4.3502 7.5347 0.0000
0.0000 0.0000 8.7802
Li Mg Cu
8 18 2
Direct
0.0000 0.0000 0.0000
0.0000 0.0000 0.5000
0.1122 0.2245 0.2500
0.1122 0.8878 0.2500
0.2245 0.1122 0.7500
0.7755 0.8878 0.2500
0.8878 0.1122 0.7500
0.8878 0.7755 0.7500
0.0740 0.5370 0.2500
0.2046 0.4091 0.5505
0.2046 0.4091 0.9495
0.2046 0.7954 0.5505
0.2046 0.7954 0.9495
0.4091 0.2046 0.0505
0.4091 0.2046 0.4495
0.4630 0.5370 0.2500
0.4630 0.9260 0.2500
0.5370 0.0740 0.7500
0.5370 0.4630 0.7500
0.5909 0.7954 0.5505
0.5909 0.7954 0.9495
0.7954 0.2046 0.0505
0.7954 0.2046 0.4495
0.7954 0.5909 0.0505
0.7954 0.5909 0.4495
0.9260 0.4630 0.7500
0.3333 0.6667 0.7500
0.6667 0.3333 0.2500
```

The 10 most intense peaks (2θ = 5–70°), most intense first:
d = 2.389 Å, intensity 100; d = 7.535 Å, intensity 88; d = 5.718 Å, intensity 80; d = 2.709 Å, intensity 64; d = 2.311 Å, intensity 55; d = 2.176 Å, intensity 44; d = 2.415 Å, intensity 33; d = 2.041 Å, intensity 31; d = 3.090 Å, intensity 29; d = 2.859 Å, intensity 23

---

Structure and simulated powder diffraction line list of Ca11Pb9Au4 (a structure optimized by DFT (PBE); λ = 1.5418 Å (Cu Kα)).

```
Ca11Pb9Au4
1.0
7.6912 -11.6057 0.0000
7.6912 11.6057 0.0000
0.0000 0.0000 3.8038
Ca Pb Au
11 9 4
Direct
0.0000 0.0000 0.0000
0.0743 0.4140 0.0000
0.1600 0.8400 0.0000
0.3056 0.3056 0.0000
0.3672 0.6328 0.0000
0.4140 0.0743 0.0000
0.5860 0.9257 0.0000
0.6328 0.3672 0.0000
0.6944 0.6944 0.0000
0.8400 0.1600 0.0000
0.9257 0.5860 0.0000
0.0701 0.2156 0.5000
0.1483 0.6312 0.5000
0.2156 0.0701 0.5000
0.3688 0.8517 0.5000
0.5000 0.5000 0.5000
0.6312 0.1483 0.5000
0.7844 0.9299 0.5000
0.8517 0.3688 0.5000
0.9299 0.7844 0.5000
0.2531 0.4511 0.5000
0.4511 0.2531 0.5000
0.5489 0.7469 0.5000
0.7469 0.5489 0.5000
```

The 10 most intense peaks (2θ = 5–70°), most intense first:
d = 2.727 Å, intensity 100; d = 2.712 Å, intensity 96; d = 2.704 Å, intensity 87; d = 3.804 Å, intensity 86; d = 2.216 Å, intensity 61; d = 3.869 Å, intensity 47; d = 3.846 Å, intensity 46; d = 1.560 Å, intensity 39; d = 1.902 Å, intensity 27; d = 1.706 Å, intensity 21